Calculated powder XRD pattern
Compound: Li2VO3F
Radiation: Cu Kα
Structure: DFT lattice parameters and positions (PBE+U)
Peak positions follow from Bragg's law for the DFT cell and can differ from measured ones.

Peak list (6 most intense, 10 to 90 degrees two-theta, sorted by position)
2θ 14.91, I 68
2θ 15.14, I 100
2θ 25.99, I 48
2θ 42.64, I 50
2θ 43.46, I 45
2θ 44.72, I 47

Structure:
Lattice parameters (Å, degrees): 7.168 7.189 7.206 109.30 111.35 107.58
Atoms (fractional coordinates):
1 Li 0.000 0.000 0.000
2 Li 0.008 0.266 0.747
3 Li 0.258 0.730 0.978
4 Li 0.270 0.252 0.456
5 Li 0.500 0.479 0.965
6 Li 0.509 0.718 0.738
7 Li 0.525 0.030 0.465
8 Li 0.754 0.217 0.960
9 V 0.025 0.703 0.204
10 V 0.263 0.009 0.756
11 V 0.715 0.728 0.464
12 V 0.983 0.435 0.465
13 O 0.006 0.489 0.995
14 O 0.019 0.749 0.693
15 O 0.205 0.942 0.219
16 O 0.223 0.736 0.467
17 O 0.235 0.486 0.704
18 O 0.242 0.202 0.945
19 O 0.457 0.184 0.715
20 O 0.527 0.734 0.245
21 O 0.754 0.952 0.698
22 O 0.777 0.270 0.488
23 O 0.784 0.534 0.256
24 O 0.987 0.253 0.240
25 F 0.484 0.962 0.947
26 F 0.522 0.506 0.483
27 F 0.757 0.720 0.990
28 F 0.996 0.979 0.489